The following is a theoretical XRD peak list of Pr7Mn8O24. It was derived from the PBE+U geometry in Alexandria, using Cu Kα.
Peak positions follow from Bragg's law for the DFT cell and can differ from measured ones.

abc: 9.5650 9.5650 7.7858
angles: 113.98 113.98 109.50
Fractional coordinates of all 39 atoms:
Pr (0.0000, 0.0000, 0.0000)
Pr (0.0084, 0.0084, 0.5257)
Pr (0.2805, 0.7774, 0.5172)
Pr (0.2900, 0.7839, 0.0253)
Pr (0.5024, 0.5024, 0.5290)
Pr (0.7774, 0.2805, 0.5172)
Pr (0.7839, 0.2900, 0.0253)
Mn (0.1427, 0.3912, 0.5214)
Mn (0.1478, 0.3942, 0.0181)
Mn (0.3912, 0.1427, 0.5214)
Mn (0.3942, 0.1478, 0.0181)
Mn (0.6406, 0.8865, 0.5110)
Mn (0.6437, 0.8905, 0.0177)
Mn (0.8865, 0.6406, 0.5110)
Mn (0.8905, 0.6437, 0.0177)
O (0.0445, 0.5449, 0.5900)
O (0.1051, 0.3319, 0.7189)
O (0.1284, 0.9055, 0.7948)
O (0.1391, 0.4326, 0.2859)
O (0.1624, 0.8714, 0.2362)
O (0.2343, 0.2343, 0.4406)
O (0.2860, 0.2860, 0.0895)
O (0.3319, 0.1051, 0.7189)
O (0.3689, 0.6668, 0.2537)
O (0.4008, 0.6310, 0.7704)
O (0.4326, 0.1391, 0.2859)
O (0.4830, 0.9818, 0.9522)
O (0.5449, 0.0445, 0.5900)
O (0.6310, 0.4008, 0.7704)
O (0.6387, 0.8444, 0.7410)
O (0.6476, 0.9426, 0.2943)
O (0.6668, 0.3689, 0.2537)
O (0.7655, 0.7655, 0.4829)
O (0.8228, 0.8228, 0.0948)
O (0.8444, 0.6387, 0.7410)
O (0.8714, 0.1624, 0.2362)
O (0.9055, 0.1284, 0.7948)
O (0.9426, 0.6476, 0.2943)
O (0.9818, 0.4830, 0.9522)

Principal peaks in the range 2θ from 15° to 90°, low angle first:
2θ = 22.73°, d 3.913, intensity 12
2θ = 32.38°, d 2.765, intensity 100
2θ = 32.47°, d 2.757, intensity 52
2θ = 39.98°, d 2.255, intensity 24
2θ = 46.32°, d 1.960, intensity 15
2θ = 46.51°, d 1.953, intensity 16
2θ = 46.67°, d 1.946, intensity 15
2θ = 57.70°, d 1.598, intensity 20
2θ = 57.85°, d 1.594, intensity 32
2θ = 67.75°, d 1.383, intensity 12